The following is a calculated powder X-ray diffraction pattern of RbBO3. It was derived from a structure optimized by DFT (GGA-PBE), using Cu Ka.
No peak broadening, texture or thermal motion is included.

Structural model:
```
data_RbBO3
_symmetry_space_group_name_H-M 'P 1'
_symmetry_Int_Tables_number 1
_cell_length_a 3.694
_cell_length_b 3.694
_cell_length_c 3.694
_cell_angle_alpha 90.00
_cell_angle_beta 90.00
_cell_angle_gamma 90.00
loop_
_symmetry_equiv_pos_as_xyz
'x,y,z'
loop_
_atom_site_label
_atom_site_type_symbol
_atom_site_fract_x
_atom_site_fract_y
_atom_site_fract_z
Rb1 Rb 0.000 0.000 0.000
B1 B 0.500 0.500 0.500
O1 O 0.000 0.500 0.500
O2 O 0.500 0.000 0.500
O3 O 0.500 0.500 0.000
```

Principal peaks in the range 2θ = 10–90°, sorted by position:
| 2θ (°) | I (rel.) |
| --- | --- |
| 24.1 | 73 |
| 34.3 | 100 |
| 42.4 | 96 |
| 49.3 | 55 |
| 55.6 | 35 |
| 61.5 | 38 |